Entry 1:
This entry pairs a crystal structure of Sr8Fe5Re5O28 with its calculated X-ray powder pattern. Radiation: Cu Kα (weighted mean of Kα1 and Kα2). Structure: a cell relaxed with GGA+U.

Principal peaks in the range 2θ from 15° to 90°, by angle:
| 2θ/deg | d/Å | I_rel |
| --- | --- | --- |
| 19.0 | 4.671 | 48 |
| 22.5 | 3.946 | 20 |
| 30.9 | 2.897 | 100 |
| 32.1 | 2.791 | 56 |
| 33.4 | 2.683 | 56 |
| 46.0 | 1.972 | 55 |
| 56.4 | 1.631 | 37 |
| 57.3 | 1.609 | 20 |
| 58.0 | 1.590 | 23 |
| 67.1 | 1.394 | 32 |

Cell and atoms:
a b c (Å): 5.581 5.581 25.602
angles (deg): 90.00 90.00 90.00
Space group P4/mmm (No. 123)
Inequivalent atoms, fractional coordinates:
Sr 0.000 0.500 0.078 [4 per cell]
Sr 0.000 0.500 0.239 [4 per cell]
Fe 0.000 0.000 0.000 [1 per cell]
Fe 0.000 0.000 0.311 [2 per cell]
Fe 0.500 0.500 0.154 [2 per cell]
Re 0.000 0.000 0.157 [2 per cell]
Re 0.500 0.500 0.000 [1 per cell]
Re 0.500 0.500 0.310 [2 per cell]
O 0.000 0.000 0.080 [2 per cell]
O 0.000 0.000 0.233 [2 per cell]
O 0.247 0.247 0.157 [8 per cell]
O 0.253 0.253 0.000 [4 per cell]
O 0.257 0.257 0.314 [8 per cell]
O 0.500 0.500 0.077 [2 per cell]
O 0.500 0.500 0.236 [2 per cell]

Entry 2:
This entry pairs a crystal structure of Na3MnCoNiO6 with its calculated X-ray powder pattern. Radiation: Cu Kα (weighted mean of Kα1 and Kα2). Structure: a cell relaxed with GGA+U.

Principal peaks in the range 2θ from 15° to 90°, by angle:
| 2θ/deg | d/Å | I_rel |
| --- | --- | --- |
| 16.5 | 5.366 | 94 |
| 33.4 | 2.683 | 24 |
| 34.7 | 2.587 | 14 |
| 36.1 | 2.489 | 48 |
| 41.1 | 2.197 | 100 |
| 41.3 | 2.188 | 48 |
| 57.8 | 1.595 | 41 |
| 61.2 | 1.515 | 14 |
| 61.4 | 1.509 | 25 |
| 76.5 | 1.245 | 12 |

Cell and atoms:
a b c (Å): 15.665 3.029 5.637
angles (deg): 90.00 107.85 90.00
Space group Cm (No. 8)
Inequivalent atoms, fractional coordinates:
Na 0.000 0.000 0.000 [2 per cell]
Na 0.166 0.500 0.002 [2 per cell]
Na 0.332 0.000 0.996 [2 per cell]
Mn 0.000 0.500 0.501 [2 per cell]
Co 0.174 0.000 0.494 [2 per cell]
Ni 0.333 0.500 0.506 [2 per cell]
O 0.072 0.000 0.690 [2 per cell]
O 0.084 0.500 0.307 [2 per cell]
O 0.241 0.500 0.711 [2 per cell]
O 0.249 0.000 0.292 [2 per cell]
O 0.419 0.000 0.699 [2 per cell]
O 0.429 0.500 0.306 [2 per cell]

Entry 3:
This entry pairs a crystal structure of Mg2W3O8 with its calculated X-ray powder pattern. Radiation: Cu Kα (weighted mean of Kα1 and Kα2). Structure: a cell relaxed with GGA+U.

Principal peaks in the range 2θ from 15° to 90°, by angle:
| 2θ/deg | d/Å | I_rel |
| --- | --- | --- |
| 16.8 | 5.292 | 100 |
| 17.4 | 5.103 | 32 |
| 33.9 | 2.646 | 15 |
| 36.4 | 2.471 | 23 |
| 37.5 | 2.396 | 37 |
| 38.6 | 2.333 | 17 |
| 42.9 | 2.108 | 20 |
| 45.9 | 1.976 | 24 |
| 54.5 | 1.682 | 14 |
| 54.9 | 1.673 | 16 |

Cell and atoms:
a b c (Å): 11.143 5.825 4.912
angles (deg): 90.00 108.22 90.00
Space group C2/m (No. 12)
Inequivalent atoms, fractional coordinates:
Mg 0.218 0.000 0.165 [4 per cell]
W 0.000 0.269 0.500 [4 per cell]
W 0.000 0.500 0.000 [2 per cell]
O 0.095 0.000 0.401 [4 per cell]
O 0.121 0.261 0.908 [8 per cell]
O 0.137 0.500 0.439 [4 per cell]

Entry 4:
This entry pairs a crystal structure of Li9Mn2Co5O16 with its calculated X-ray powder pattern. Radiation: Cu Kα (weighted mean of Kα1 and Kα2). Structure: a cell relaxed with GGA+U.

Principal peaks in the range 2θ from 15° to 90°, by angle:
| 2θ/deg | d/Å | I_rel |
| --- | --- | --- |
| 18.2 | 4.862 | 100 |
| 35.6 | 2.525 | 15 |
| 36.1 | 2.487 | 27 |
| 43.0 | 2.104 | 27 |
| 43.7 | 2.072 | 55 |
| 47.5 | 1.914 | 13 |
| 57.5 | 1.604 | 10 |
| 62.7 | 1.481 | 15 |
| 62.8 | 1.479 | 8 |
| 63.2 | 1.471 | 14 |

Cell and atoms:
a b c (Å): 5.167 2.904 19.345
angles (deg): 90.00 95.23 90.00
Space group Pm (No. 6)
Inequivalent atoms, fractional coordinates:
Li 0.000 0.000 0.000 [1 per cell]
Li 0.018 0.500 0.500 [1 per cell]
Li 0.142 0.000 0.374 [1 per cell]
Li 0.269 0.500 0.248 [1 per cell]
Li 0.391 0.000 0.126 [1 per cell]
Li 0.539 0.500 0.998 [1 per cell]
Li 0.649 0.000 0.880 [1 per cell]
Li 0.755 0.500 0.753 [1 per cell]
Li 0.887 0.000 0.626 [1 per cell]
Mn 0.133 0.500 0.881 [1 per cell]
Mn 0.388 0.500 0.626 [1 per cell]
Co 0.251 0.000 0.752 [1 per cell]
Co 0.518 0.000 0.497 [1 per cell]
Co 0.646 0.500 0.372 [1 per cell]
Co 0.793 0.000 0.249 [1 per cell]
Co 0.889 0.500 0.121 [1 per cell]
O 0.066 0.000 0.188 [1 per cell]
O 0.070 0.500 0.694 [1 per cell]
O 0.156 0.500 0.073 [1 per cell]
O 0.228 0.000 0.567 [1 per cell]
O 0.310 0.000 0.933 [1 per cell]
O 0.335 0.500 0.440 [1 per cell]
O 0.421 0.500 0.813 [1 per cell]
O 0.495 0.000 0.313 [1 per cell]
O 0.547 0.000 0.685 [1 per cell]
O 0.620 0.500 0.186 [1 per cell]
O 0.700 0.500 0.556 [1 per cell]
O 0.704 0.000 0.068 [1 per cell]
O 0.797 0.000 0.429 [1 per cell]
O 0.854 0.500 0.934 [1 per cell]
O 0.959 0.500 0.309 [1 per cell]
O 0.975 0.000 0.821 [1 per cell]